(1)
Simulated XRD peak list of Ti7Sb2H2Au for Cu Kα (λ = 1.5418 Å), from a DFT-relaxed cell (PBE, Alexandria).
Intensities are scaled so that the largest is 100.

Cell and atoms:
Unit cell a=12.0296 b=12.0296 c=12.0296 alpha=161.04 beta=161.04 gamma=26.93
Positions (direct):
1 Ti 0.0000 0.0000 0.0000
2 Ti 0.0924 0.5924 0.5000
3 Ti 0.2014 0.2014 0.0000
4 Ti 0.4076 0.9076 0.5000
5 Ti 0.5924 0.0924 0.5000
6 Ti 0.7986 0.7986 0.0000
7 Ti 0.9076 0.4076 0.5000
8 Sb 0.3197 0.3197 0.0000
9 Sb 0.6803 0.6803 0.0000
10 H 0.0839 0.0839 0.0000
11 H 0.9161 0.9161 0.0000
12 Au 0.5000 0.5000 0.0000

Main lines, in order of falling intensity (5 to 70 degrees two-theta):
| Position (°2θ) | d (Å) | Rel. int. |
| --- | --- | --- |
| 39.6 | 2.275 | 100 |
| 22.8 | 3.904 | 67 |
| 45.8 | 1.981 | 45 |
| 35.5 | 2.527 | 42 |
| 29.5 | 3.024 | 33 |
| 31.9 | 2.802 | 33 |
| 38.5 | 2.340 | 22 |
| 51.7 | 1.767 | 21 |
| 61.3 | 1.512 | 21 |
| 7.6 | 11.699 | 21 |



(2)
Simulated XRD peak list of ScTi2HAu for Cu Kα (λ = 1.5418 Å), from a DFT-relaxed cell (PBE, Alexandria).
Intensities are scaled so that the largest is 100.

Cell and atoms:
Unit cell a=4.0848 b=4.0848 c=4.4084 alpha=90.00 beta=90.00 gamma=90.00
Positions (direct):
1 Sc 0.0000 0.0000 0.0000
2 Ti 0.0000 0.5000 0.5000
3 Ti 0.5000 0.0000 0.5000
4 H 0.0000 0.0000 0.5000
5 Au 0.5000 0.5000 0.0000

Main lines, in order of falling intensity (5 to 70 degrees two-theta):
| Position (°2θ) | d (Å) | Rel. int. |
| --- | --- | --- |
| 37.2 | 2.416 | 100 |
| 29.8 | 2.996 | 38 |
| 21.8 | 4.085 | 38 |
| 44.4 | 2.042 | 31 |
| 61.9 | 1.498 | 22 |
| 20.1 | 4.408 | 21 |
| 40.9 | 2.204 | 19 |
| 31.0 | 2.888 | 16 |
| 54.4 | 1.688 | 15 |
| 46.8 | 1.940 | 11 |